No. 1
This entry pairs a crystal structure of KLaZrSnO6 with its calculated powder XRD pattern. Radiation: λ = 1.5418 Å (Cu Kα). Structure: DFT lattice parameters and positions (GGA-PBE).
Intensities are scaled so that the largest is 100.

Largest 10 diffraction maxima, by intensity, 2θ from 5° to 70°:
two_theta	intensity
30.5	100
54.3	40
43.7	34
63.6	21
18.6	17
36.0	10
21.5	5
47.9	5
57.9	4
66.9	4

Cell: 5.855 5.855 5.855 Å, 60.00 60.00 60.00°
Fractional coordinates of all 10 atoms:
K 0.000 0.000 0.000
La 0.500 0.500 0.500
Zr 0.750 0.750 0.750
Sn 0.250 0.250 0.250
O 0.002 0.002 0.498
O 0.002 0.498 0.002
O 0.002 0.498 0.498
O 0.498 0.002 0.002
O 0.498 0.002 0.498
O 0.498 0.498 0.002

***

No. 2
This entry pairs a crystal structure of KLaTa2O7 with its calculated powder XRD pattern. Radiation: λ = 1.5418 Å (Cu Kα). Structure: DFT lattice parameters and positions (GGA-PBE).
Intensities are scaled so that the largest is 100.

Largest 10 diffraction maxima, by intensity, 2θ from 5° to 70°:
two_theta	intensity
7.9	100
32.5	48
27.8	47
30.2	39
49.1	22
25.6	19
33.1	16
54.8	14
56.4	14
23.0	12

Cell: 3.912 11.416 11.416 Å, 19.81 90.00 90.00°
Fractional coordinates of all 11 atoms:
K 0.000 0.000 0.000
La 0.000 0.764 0.764
Ta 0.500 0.163 0.163
Ta 0.500 0.366 0.366
O 0.000 0.183 0.183
O 0.000 0.348 0.348
O 0.500 0.083 0.083
O 0.500 0.266 0.266
O 0.500 0.447 0.447
O 0.500 0.683 0.683
O 0.500 0.848 0.848

***

No. 3
This entry pairs a crystal structure of K2LaTe2O6 with its calculated powder XRD pattern. Radiation: λ = 1.5418 Å (Cu Kα). Structure: DFT lattice parameters and positions (GGA-PBE).
Intensities are scaled so that the largest is 100.

Largest 10 diffraction maxima, by intensity, 2θ from 5° to 70°:
two_theta	intensity
29.0	100
19.2	71
24.8	58
28.5	45
46.4	27
32.7	26
18.1	24
31.6	22
38.9	16
38.6	16

Cell: 6.332 6.332 6.895 Å, 112.35 112.35 68.94°
Fractional coordinates of all 11 atoms:
K 0.176 0.176 0.151
K 0.824 0.824 0.849
La 0.000 0.000 0.500
Te 0.470 0.470 0.759
Te 0.530 0.530 0.241
O 0.214 0.767 0.240
O 0.233 0.786 0.760
O 0.267 0.267 0.628
O 0.733 0.733 0.372
O 0.767 0.214 0.240
O 0.786 0.233 0.760

***

No. 4
This entry pairs a crystal structure of K2La2Ti3O10 with its calculated powder XRD pattern. Radiation: λ = 1.5418 Å (Cu Kα). Structure: DFT lattice parameters and positions (GGA-PBE).
Intensities are scaled so that the largest is 100.

Largest 10 diffraction maxima, by intensity, 2θ from 5° to 70°:
two_theta	intensity
5.9	100
30.9	74
32.4	37
46.4	26
56.8	25
40.5	20
54.1	17
64.5	13
42.1	12
22.9	10

Cell: 15.276 15.276 15.276 Å, 165.29 165.29 20.86°
Fractional coordinates of all 17 atoms:
K 0.208 0.208 0.000
K 0.792 0.792 0.000
La 0.072 0.072 0.000
La 0.928 0.928 0.000
Ti 0.360 0.360 0.000
Ti 0.500 0.500 0.000
Ti 0.640 0.640 0.000
O 0.000 0.500 0.500
O 0.126 0.626 0.500
O 0.301 0.301 0.000
O 0.374 0.874 0.500
O 0.436 0.436 0.000
O 0.500 0.000 0.500
O 0.564 0.564 0.000
O 0.626 0.126 0.500
O 0.699 0.699 0.000
O 0.874 0.374 0.500

***

No. 5
This entry pairs a crystal structure of KLaTi4O12 with its calculated powder XRD pattern. Radiation: λ = 1.5418 Å (Cu Kα). Structure: DFT lattice parameters and positions (GGA-PBE).
Intensities are scaled so that the largest is 100.

Largest 10 diffraction maxima, by intensity, 2θ from 5° to 70°:
two_theta	intensity
19.7	100
32.3	80
46.7	46
32.6	40
38.3	35
58.0	29
16.1	24
67.7	24
11.2	24
46.0	23

Cell: 5.498 5.498 7.888 Å, 90.00 90.00 90.00°
Fractional coordinates of all 18 atoms:
K 0.000 0.000 0.000
La 0.500 0.500 0.500
Ti 0.000 0.500 0.240
Ti 0.000 0.500 0.760
Ti 0.500 0.000 0.240
Ti 0.500 0.000 0.760
O 0.000 0.500 0.000
O 0.000 0.500 0.500
O 0.257 0.257 0.266
O 0.257 0.257 0.734
O 0.257 0.743 0.266
O 0.257 0.743 0.734
O 0.500 0.000 0.000
O 0.500 0.000 0.500
O 0.743 0.257 0.266
O 0.743 0.257 0.734
O 0.743 0.743 0.266
O 0.743 0.743 0.734

***

No. 6
This entry pairs a crystal structure of KLaZr4O12 with its calculated powder XRD pattern. Radiation: λ = 1.5418 Å (Cu Kα). Structure: DFT lattice parameters and positions (GGA-PBE).
Intensities are scaled so that the largest is 100.

Largest 10 diffraction maxima, by intensity, 2θ from 5° to 70°:
two_theta	intensity
30.3	100
18.5	49
30.5	48
54.1	42
43.6	39
21.4	36
53.8	23
63.1	21
43.2	19
21.2	17

Cell: 8.382 5.867 5.867 Å, 89.96 90.00 90.00°
Fractional coordinates of all 18 atoms:
K 0.000 0.000 0.000
La 0.500 0.485 0.485
Zr 0.244 0.495 0.986
Zr 0.244 0.986 0.495
Zr 0.756 0.495 0.986
Zr 0.756 0.986 0.495
O 0.000 0.515 0.977
O 0.000 0.977 0.515
O 0.240 0.231 0.231
O 0.284 0.257 0.723
O 0.284 0.723 0.257
O 0.304 0.725 0.725
O 0.500 0.058 0.458
O 0.500 0.458 0.058
O 0.696 0.725 0.725
O 0.716 0.257 0.723
O 0.716 0.723 0.257
O 0.760 0.231 0.231

***

No. 7
This entry pairs a crystal structure of KLaP2Se6 with its calculated powder XRD pattern. Radiation: λ = 1.5418 Å (Cu Kα). Structure: DFT lattice parameters and positions (GGA-PBE).
Intensities are scaled so that the largest is 100.

Largest 10 diffraction maxima, by intensity, 2θ from 5° to 70°:
two_theta	intensity
28.6	100
7.4	88
30.8	66
31.7	51
33.7	50
29.7	34
35.7	32
13.6	32
27.4	28
29.3	27

Cell: 12.724 7.968 11.979 Å, 90.00 109.23 90.00°
Fractional coordinates of all 40 atoms:
K 0.128 0.088 0.369
K 0.128 0.412 0.869
K 0.872 0.588 0.131
K 0.872 0.912 0.631
La 0.352 0.602 0.597
La 0.352 0.898 0.097
La 0.648 0.102 0.903
La 0.648 0.398 0.403
P 0.214 0.617 0.268
P 0.214 0.883 0.768
P 0.328 0.095 0.753
P 0.328 0.405 0.253
P 0.672 0.595 0.747
P 0.672 0.905 0.247
P 0.786 0.117 0.232
P 0.786 0.383 0.732
Se 0.116 0.519 0.374
Se 0.116 0.981 0.874
Se 0.133 0.712 0.087
Se 0.133 0.788 0.587
Se 0.220 0.215 0.138
Se 0.220 0.285 0.638
Se 0.330 0.688 0.866
Se 0.330 0.812 0.366
Se 0.413 0.189 0.935
Se 0.413 0.311 0.435
Se 0.450 0.531 0.183
Se 0.450 0.969 0.683
Se 0.550 0.031 0.317
Se 0.550 0.469 0.817
Se 0.587 0.689 0.565
Se 0.587 0.811 0.065
Se 0.670 0.188 0.634
Se 0.670 0.312 0.134
Se 0.780 0.715 0.362
Se 0.780 0.785 0.862
Se 0.867 0.212 0.413
Se 0.867 0.288 0.913
Se 0.884 0.019 0.126
Se 0.884 0.481 0.626

***

No. 8
This entry pairs a crystal structure of K3LaP2Se8 with its calculated powder XRD pattern. Radiation: λ = 1.5418 Å (Cu Kα). Structure: DFT lattice parameters and positions (GGA-PBE).
Intensities are scaled so that the largest is 100.

Largest 10 diffraction maxima, by intensity, 2θ from 5° to 70°:
two_theta	intensity
9.9	100
27.7	34
32.8	30
26.2	24
32.4	22
29.4	20
36.6	17
15.6	16
28.7	16
16.2	14

Cell: 9.947 17.869 10.232 Å, 90.00 93.79 90.00°
Fractional coordinates of all 56 atoms:
K 0.110 0.214 0.136
K 0.110 0.286 0.636
K 0.229 0.042 0.506
K 0.229 0.458 0.006
K 0.374 0.714 0.873
K 0.374 0.786 0.373
K 0.626 0.214 0.627
K 0.626 0.286 0.127
K 0.771 0.542 0.994
K 0.771 0.958 0.494
K 0.890 0.714 0.364
K 0.890 0.786 0.864
La 0.261 0.513 0.486
La 0.261 0.987 0.986
La 0.739 0.013 0.014
La 0.739 0.487 0.514
P 0.024 0.601 0.720
P 0.024 0.899 0.220
P 0.500 0.096 0.239
P 0.500 0.404 0.739
P 0.500 0.596 0.261
P 0.500 0.904 0.761
P 0.976 0.101 0.780
P 0.976 0.399 0.280
Se 0.032 0.024 0.180
Se 0.032 0.476 0.680
Se 0.072 0.626 0.928
Se 0.072 0.874 0.428
Se 0.166 0.661 0.597
Se 0.166 0.839 0.097
Se 0.187 0.134 0.845
Se 0.187 0.366 0.345
Se 0.276 0.599 0.224
Se 0.276 0.901 0.724
Se 0.400 0.185 0.346
Se 0.400 0.315 0.846
Se 0.419 0.518 0.768
Se 0.419 0.982 0.268
Se 0.477 0.114 0.020
Se 0.477 0.386 0.520
Se 0.523 0.614 0.480
Se 0.523 0.886 0.980
Se 0.581 0.018 0.732
Se 0.581 0.482 0.232
Se 0.600 0.685 0.154
Se 0.600 0.815 0.654
Se 0.724 0.099 0.276
Se 0.724 0.401 0.776
Se 0.813 0.634 0.655
Se 0.813 0.866 0.155
Se 0.834 0.161 0.903
Se 0.834 0.339 0.403
Se 0.928 0.126 0.572
Se 0.928 0.374 0.072
Se 0.968 0.524 0.320
Se 0.968 0.976 0.820

***

No. 9
This entry pairs a crystal structure of KLa2Pb with its calculated powder XRD pattern. Radiation: λ = 1.5418 Å (Cu Kα). Structure: DFT lattice parameters and positions (GGA-PBE).
Intensities are scaled so that the largest is 100.

Largest 10 diffraction maxima, by intensity, 2θ from 5° to 70°:
two_theta	intensity
30.2	100
16.0	47
29.1	31
30.8	23
52.3	22
28.1	20
38.4	19
42.9	19
40.9	15
54.9	10

Cell: 3.985 6.142 12.683 Å, 90.00 90.00 90.00°
Fractional coordinates of all 8 atoms:
K 0.000 0.000 0.000
K 0.500 0.500 0.500
La 0.000 0.500 0.212
La 0.000 0.500 0.788
La 0.500 0.000 0.288
La 0.500 0.000 0.712
Pb 0.000 0.000 0.500
Pb 0.500 0.500 0.000

***

No. 10
This entry pairs a crystal structure of KLa2Pb with its calculated powder XRD pattern. Radiation: λ = 1.5418 Å (Cu Kα). Structure: DFT lattice parameters and positions (GGA-PBE).
Intensities are scaled so that the largest is 100.

Largest 10 diffraction maxima, by intensity, 2θ from 5° to 70°:
two_theta	intensity
28.9	100
11.7	86
35.5	68
26.7	52
31.5	43
29.7	32
35.8	28
62.7	22
15.6	22
37.2	20

Cell: 11.428 3.606 7.642 Å, 90.00 96.43 90.00°
Fractional coordinates of all 8 atoms:
K 0.000 0.000 0.000
K 0.500 0.500 0.000
La 0.017 0.500 0.528
La 0.271 0.500 0.349
La 0.517 0.000 0.528
La 0.771 0.000 0.349
Pb 0.257 0.000 0.731
Pb 0.757 0.500 0.731

***

No. 11
This entry pairs a crystal structure of KLa2Pb9 with its calculated powder XRD pattern. Radiation: λ = 1.5418 Å (Cu Kα). Structure: DFT lattice parameters and positions (GGA-PBE).
Intensities are scaled so that the largest is 100.

Largest 10 diffraction maxima, by intensity, 2θ from 5° to 70°:
two_theta	intensity
31.1	100
36.1	34
61.9	29
51.8	24
35.8	17
61.3	15
64.8	13
52.0	12
17.8	3
25.2	3

Cell: 4.970 4.970 15.068 Å, 90.00 90.00 90.00°
Fractional coordinates of all 12 atoms:
K 0.000 0.000 0.000
La 0.000 0.000 0.339
La 0.000 0.000 0.661
Pb 0.000 0.500 0.168
Pb 0.000 0.500 0.500
Pb 0.000 0.500 0.832
Pb 0.500 0.000 0.168
Pb 0.500 0.000 0.500
Pb 0.500 0.000 0.832
Pb 0.500 0.500 0.000
Pb 0.500 0.500 0.332
Pb 0.500 0.500 0.668